Diffraction record for Ac2Ni2O5. The XRD peak list is calculated, not measured: it uses DFT lattice parameters and positions (PBE+U) and Cu Kα.

Atomic structure:
Unit cell a=4.043 b=4.043 c=7.606 alpha=90.00 beta=90.00 gamma=90.00
Space group P4/mmm (No. 123)
One atom of each set of equivalent atoms:
Ac1 0.000 0.000 0.000
Ac2 0.000 0.000 0.500
Ni1 0.500 0.500 0.245
O1 0.000 0.500 0.217
O2 0.500 0.500 0.500

Most intense lines, 2θ = 15–90°, in order of rising 2θ:
h k l	2θ/deg	I (rel.)
1 0 0	21.99	34.8
1 1 0	31.29	47.8
1 0 2	32.32	100.0
1 1 2	39.44	28.5
2 0 0	44.84	27.8
2 1 2	56.35	42.1

---

Diffraction record for Ac2NiOsO6. The XRD peak list is calculated, not measured: it uses DFT lattice parameters and positions (PBE+U) and Cu Kα.

Atomic structure:
Unit cell a=8.053 b=8.053 c=8.053 alpha=90.00 beta=90.00 gamma=90.00
Space group Fm-3m (No. 225)
One atom of each set of equivalent atoms:
Ac1 0.250 0.250 0.250
Ni1 0.000 0.000 0.000
Os1 0.000 0.000 0.500
O1 0.000 0.000 0.251

Most intense lines, 2θ = 15–90°, in order of rising 2θ:
h k l	2θ/deg	I (rel.)
1 1 1	19.09	7.5
2 2 0	31.42	100.0
4 0 0	45.03	26.7
4 2 2	55.94	40.9
4 4 0	65.58	16.9
6 2 0	74.52	17.9